Starting from the GGA-PBE geometry in OQMD, the powder diffraction line list of KB4Pt was simulated for CuKα.

Crystal structure
abc: 3.1057 3.1057 8.2389
angles: 90.00 90.00 120.00
Space group P6/mmm (No. 191)
Asymmetric unit:
K1 0.0000 0.0000 0.0000 [1 per cell]
B1 0.3333 0.6667 0.2982 [4 per cell]
Pt1 0.0000 0.0000 0.5000 [1 per cell]

Main lines, in order of rising 2θ (2θ = 10–90°):
| index | 2θ (°) | I/Imax |
| --- | --- | --- |
| 0 0 1 | 10.7 | 100 |
| 0 0 2 | 21.6 | 34 |
| 1 0 0 | 33.3 | 39 |
| 1 0 1 | 35.1 | 31 |
| 1 0 2 | 40.0 | 61 |
| 1 0 3 | 47.3 | 17 |
| 1 0 4 | 56.3 | 19 |
| 1 1 0 | 59.5 | 10 |
| 1 1 2 | 64.1 | 11 |
| 2 0 2 | 74.2 | 10 |

***

Starting from the GGA-PBE geometry in OQMD, the powder diffraction line list of Li4MgTlPt2 was simulated for CuKα.

Crystal structure
abc: 4.4771 4.4771 6.3514
angles: 90.00 90.00 90.00
Space group P-4m2 (No. 115)
Asymmetric unit:
Li1 0.0000 0.0000 0.0000 [1 per cell]
Li2 0.0000 0.5000 0.7407 [2 per cell]
Li3 0.5000 0.5000 0.5000 [1 per cell]
Mg1 0.0000 0.0000 0.5000 [1 per cell]
Tl1 0.5000 0.5000 0.0000 [1 per cell]
Pt1 0.0000 0.5000 0.2671 [2 per cell]

Main lines, in order of rising 2θ (2θ = 10–90°):
| index | 2θ (°) | I/Imax |
| --- | --- | --- |
| 1 0 0 | 19.8 | 13 |
| 1 0 1 | 24.3 | 100 |
| 1 1 1 | 31.6 | 13 |
| 2 0 0 | 40.2 | 86 |
| 1 0 3 | 47.5 | 16 |
| 2 1 1 | 47.6 | 34 |
| 2 2 0 | 58.3 | 10 |
| 3 0 1 | 64.0 | 20 |
| 3 1 2 | 73.2 | 20 |
| 3 2 1 | 78.5 | 12 |

***

Starting from the GGA-PBE geometry in OQMD, the powder diffraction line list of Gd8Re13B12 was simulated for CuKα.

Crystal structure
abc: 10.6624 10.6624 14.4136
angles: 90.00 90.00 120.00
Space group R-3m (No. 166, hexagonal axes)
Asymmetric unit:
Gd1 0.0000 0.0000 0.1411 [6 per cell]
Gd2 0.9998 0.4999 0.1881 [18 per cell]
Re1 0.0000 0.0000 0.5000 [3 per cell]
Re2 0.0219 0.5110 0.4149 [18 per cell]
Re3 0.0835 0.1671 0.3382 [18 per cell]
B1 0.0000 0.1724 0.0000 [18 per cell]
B2 0.0000 0.3482 0.0000 [18 per cell]

Main lines, in order of rising 2θ (2θ = 10–90°):
| index | 2θ (°) | I/Imax |
| --- | --- | --- |
| 0 1 5 | 32.5 | 35 |
| 2 2 0 | 33.6 | 100 |
| 1 3 1 | 35.6 | 34 |
| 2 0 5 | 36.8 | 61 |
| 3 1 2 | 37.3 | 30 |
| 2 2 3 | 38.6 | 93 |
| 1 2 5 | 40.6 | 42 |
| 4 2 5 | 62.2 | 23 |
| 3 1 8 | 63.1 | 23 |
| 4 4 0 | 70.7 | 35 |

***

Starting from the GGA-PBE geometry in OQMD, the powder diffraction line list of CdGeSeO was simulated for CuKα.

Crystal structure
abc: 7.4199 10.7390 8.3474
angles: 90.00 90.00 90.00
Space group Pbca (No. 61)
Asymmetric unit:
Cd1 0.0742 0.1644 0.1560 [8 per cell]
Ge1 0.2300 0.5039 0.9826 [8 per cell]
Se1 0.0184 0.0930 0.6890 [8 per cell]
O1 0.2299 0.6368 0.3724 [8 per cell]

Main lines, in order of rising 2θ (2θ = 10–90°):
| index | 2θ (°) | I/Imax |
| --- | --- | --- |
| 2 1 0 | 25.4 | 30 |
| 1 1 2 | 25.9 | 100 |
| 1 3 1 | 29.7 | 27 |
| 2 0 2 | 32.3 | 51 |
| 0 4 1 | 35.1 | 45 |
| 2 2 2 | 36.5 | 35 |
| 0 4 2 | 39.9 | 23 |
| 2 4 0 | 41.5 | 25 |
| 3 0 2 | 42.5 | 24 |
| 2 4 1 | 43.0 | 30 |

***

Starting from the GGA-PBE geometry in OQMD, the powder diffraction line list of DyCuTePbSe2 was simulated for CuKα.

Crystal structure
abc: 4.1083 14.0242 11.0923
angles: 90.00 90.00 90.00
Space group Cmcm (No. 63)
Asymmetric unit:
Dy1 0.0000 0.0000 0.0000 [4 per cell]
Cu1 0.0000 0.4697 0.2500 [4 per cell]
Te1 0.0000 0.0926 0.2500 [4 per cell]
Pb1 0.0000 0.2191 0.7500 [4 per cell]
Se1 0.0000 0.3667 0.0687 [8 per cell]

Main lines, in order of rising 2θ (2θ = 10–90°):
| index | 2θ (°) | I/Imax |
| --- | --- | --- |
| 0 2 2 | 20.4 | 34 |
| 1 3 1 | 30.1 | 73 |
| 0 0 4 | 32.3 | 31 |
| 1 3 2 | 33.2 | 100 |
| 1 3 3 | 38.0 | 16 |
| 1 1 4 | 39.7 | 18 |
| 2 0 0 | 44.1 | 24 |
| 0 6 3 | 45.9 | 16 |
| 1 3 5 | 50.7 | 25 |
| 1 7 6 | 73.4 | 26 |

***

Starting from the GGA-PBE geometry in OQMD, the powder diffraction line list of Nb4CuN3 was simulated for CuKα.

Crystal structure
abc: 3.1734 3.1734 22.9693
angles: 90.00 90.00 120.00
Space group P6_3/mmc (No. 194)
Asymmetric unit:
Nb1 0.0000 0.0000 0.1597 [4 per cell]
Nb2 0.3333 0.6667 0.0594 [4 per cell]
Cu1 0.3333 0.6667 0.2500 [2 per cell]
N1 0.0000 0.0000 0.0000 [2 per cell]
N2 0.3333 0.6667 0.6132 [4 per cell]

Main lines, in order of rising 2θ (2θ = 10–90°):
| index | 2θ (°) | I/Imax |
| --- | --- | --- |
| 1 0 1 | 32.8 | 22 |
| 1 0 2 | 33.5 | 21 |
| 1 0 4 | 36.2 | 30 |
| 1 0 5 | 38.2 | 69 |
| 0 0 10 | 39.2 | 26 |
| 1 0 6 | 40.4 | 100 |
| 1 0 11 | 55.2 | 20 |
| 1 1 0 | 58.1 | 44 |
| 1 1 10 | 72.4 | 25 |
| 2 0 6 | 73.2 | 16 |